Starting from a GGA-PBE-relaxed structure, the X-ray diffraction stick pattern of Pm6C2SeS3 was calculated for CuKα.
Peak positions follow from Bragg's law for the DFT cell and can differ from measured ones.

Most intense lines, 10 to 90 degrees two-theta, sorted by position:
d = 3.290 Å, 27.10°, I 357
d = 3.220 Å, 27.71°, I 383
d = 2.819 Å, 31.75°, I 1000
d = 2.028 Å, 44.69°, I 116
d = 1.992 Å, 45.53°, I 421
d = 1.962 Å, 46.27°, I 127
d = 1.716 Å, 53.41°, I 79
d = 1.685 Å, 54.44°, I 110
d = 1.610 Å, 57.23°, I 114
d = 1.410 Å, 66.28°, I 71

Crystal structure
Cell lengths 8.9001, 8.9001, 8.1097 Å; angles 103.04, 103.04, 25.48 degrees
Sites, in units of the cell vectors:
Pm1 0.0168 0.0168 0.2696
Pm2 0.3250 0.3250 0.4337
Pm3 0.3267 0.3267 0.8790
Pm4 0.6733 0.6733 0.1210
Pm5 0.6750 0.6750 0.5663
Pm6 0.9832 0.9832 0.7304
C1 0.1685 0.1685 0.3350
C2 0.8315 0.8315 0.6650
Se1 0.5000 0.5000 0.0000
S1 0.1619 0.1619 0.8349
S2 0.5000 0.5000 0.5000
S3 0.8381 0.8381 0.1651



Starting from a GGA-PBE-relaxed structure, the X-ray diffraction stick pattern of Pm6SbC2 was calculated for CuKα.
Peak positions follow from Bragg's law for the DFT cell and can differ from measured ones.

Most intense lines, 10 to 90 degrees two-theta, sorted by position:
d = 3.413 Å, 26.11°, I 224
d = 3.134 Å, 28.48°, I 828
d = 3.073 Å, 29.05°, I 1000
d = 2.962 Å, 30.17°, I 268
d = 2.863 Å, 31.24°, I 373
d = 2.819 Å, 31.74°, I 860
d = 2.766 Å, 32.37°, I 364
d = 2.700 Å, 33.18°, I 590
d = 2.542 Å, 35.30°, I 530
d = 1.621 Å, 56.79°, I 219

Crystal structure
Cell lengths 8.9759, 8.9759, 6.8792 Å; angles 95.98, 95.98, 64.75 degrees
Sites, in units of the cell vectors:
Pm1 0.0254 0.7555 0.8245
Pm2 0.0315 0.3692 0.6824
Pm3 0.2445 0.9746 0.6755
Pm4 0.3356 0.3982 0.0888
Pm5 0.3692 0.0315 0.1824
Pm6 0.3982 0.3356 0.5888
Pm7 0.6018 0.6644 0.4112
Pm8 0.6308 0.9685 0.8176
Pm9 0.6644 0.6018 0.9112
Pm10 0.7555 0.0254 0.3245
Pm11 0.9685 0.6308 0.3176
Pm12 0.9746 0.2445 0.1755
Sb1 0.1773 0.8227 0.2500
Sb2 0.8227 0.1773 0.7500
C1 0.1763 0.3385 0.3466
C2 0.3385 0.1763 0.8466
C3 0.6615 0.8237 0.1534
C4 0.8237 0.6615 0.6534



Starting from a GGA-PBE-relaxed structure, the X-ray diffraction stick pattern of TbPm3Sb2C was calculated for CuKα.
Peak positions follow from Bragg's law for the DFT cell and can differ from measured ones.

Most intense lines, 10 to 90 degrees two-theta, sorted by position:
d = 3.176 Å, 28.09°, I 717
d = 2.706 Å, 33.10°, I 328
d = 2.629 Å, 34.10°, I 1000
d = 2.462 Å, 36.49°, I 303
d = 2.419 Å, 37.16°, I 288
d = 1.821 Å, 50.10°, I 198
d = 1.804 Å, 50.61°, I 197
d = 1.726 Å, 53.07°, I 205
d = 1.469 Å, 63.31°, I 176
d = 1.455 Å, 63.99°, I 170

Crystal structure
Cell lengths 4.8384, 4.9244, 16.2344 Å; angles 90.00, 90.00, 90.00 degrees
Sites, in units of the cell vectors:
Tb1 0.0000 0.0000 0.0000
Tb2 0.5000 0.5000 0.5000
Pm1 0.0000 0.0000 0.5000
Pm2 0.0000 0.5000 0.3398
Pm3 0.0000 0.5000 0.6602
Pm4 0.5000 0.0000 0.1602
Pm5 0.5000 0.0000 0.8398
Pm6 0.5000 0.5000 0.0000
Sb1 0.0000 0.5000 0.1398
Sb2 0.0000 0.5000 0.8602
Sb3 0.5000 0.0000 0.3602
Sb4 0.5000 0.0000 0.6398
C1 0.0000 0.5000 0.5000
C2 0.5000 0.0000 0.0000



Q: Which formula does entry 2 have?
A: Pm6SbC2